This entry pairs a crystal structure of Na5AsO4F2 with its computed powder diffractogram. Radiation: Cu Kα (λ = 1.5418 Å). Structure: the PBE geometry in Alexandria.

Top 6 peaks for 10 to 80 degrees two-theta, low angle first:
two_theta, d/Å, I (rel.), h k l
13.25, 6.682, 35, 1 0 0
18.66, 4.755, 68, 0 1 1
22.96, 3.874, 46, 1 1 1
32.76, 2.734, 100, 2 1 1
33.21, 2.697, 93, 0 3 1
46.90, 1.937, 77, 2 2 2

Atomic structure:
Cell: 6.6821 9.2643 5.5407 Å, 90.00 90.00 90.00°
Space group Amm2 (No. 38)
Unique sites:
Na 0.0000 0.0000 0.0000 x2
Na 0.2543 0.1870 0.4973 x8
As 0.5000 0.0000 0.0220 x2
O 0.2914 0.0000 0.2065 x4
O 0.5000 0.1510 0.8370 x4
F 0.0000 0.1940 0.7651 x4